Theoretical powder X-ray diffraction pattern
Compound: BaPaCl6
Radiation: Cu Kα X-rays
Structure: the GGA-PBE geometry in OQMD
Neutral-atom scattering factors, no anomalous dispersion.

Most intense lines, 2θ = 10–90°, low angle first:
- 16.2°, I = 100, hkl 1 1 -1
- 17.2°, I = 38, hkl 2 0 0
- 22.9°, I = 29, hkl 1 1 1
- 24.5°, I = 26, hkl 3 1 -1
- 32.8°, I = 23, hkl 2 2 -2
- 35.2°, I = 14, hkl 1 3 -1
- 36.2°, I = 24, hkl 0 2 2
- 38.3°, I = 19, hkl 4 2 -2
- 40.9°, I = 15, hkl 1 1 -3
- 41.4°, I = 13, hkl 4 2 0

Crystal structure
Cell: 12.1723 8.1520 7.3773 Å, 90.00 121.98 90.00°
Sites, in units of the cell vectors:
1 Ba 0.0000 0.0000 0.0000
2 Ba 0.5000 0.5000 0.0000
3 Pa 0.0000 0.5000 0.5000
4 Pa 0.5000 0.0000 0.5000
5 Cl 0.0770 0.2714 0.7991
6 Cl 0.0770 0.7286 0.7991
7 Cl 0.2357 0.5000 0.5634
8 Cl 0.2643 0.0000 0.4366
9 Cl 0.4230 0.2286 0.2009
10 Cl 0.4230 0.7714 0.2009
11 Cl 0.5770 0.2286 0.7991
12 Cl 0.5770 0.7714 0.7991
13 Cl 0.7357 0.0000 0.5634
14 Cl 0.7643 0.5000 0.4366
15 Cl 0.9230 0.2714 0.2009
16 Cl 0.9230 0.7286 0.2009